# LiMg17Al11
Theoretical powder X-ray diffraction pattern, Cu Kα X-rays. Input: a crystal structure in the Materials Project, relaxed with GGA-PBE.

Crystal structure
```
data_LiMg17Al11
_chemical_formula_sum 'Li2 Mg34 Al22'
_cell_length_a 10.548
_cell_length_b 14.726
_cell_length_c 9.129
_cell_angle_alpha 90.00
_cell_angle_beta 124.47
_cell_angle_gamma 90.00
_space_group_name_H-M_alt 'C 1 m 1'
_space_group_IT_number 8
loop_
_space_group_symop_operation_xyz
'x,y,z'
'x,-y,z'
'x+1/2,y+1/2,z'
'x+1/2,-y+1/2,z'
loop_
_atom_site_label
_atom_site_fract_x
_atom_site_fract_y
_atom_site_fract_z
Li1 0.000 0.000 0.000
Mg1 0.031 0.000 0.532
Mg2 0.093 0.143 0.818
Mg3 0.120 0.199 0.503
Mg4 0.132 0.500 0.163
Mg5 0.135 0.500 0.819
Mg6 0.189 0.158 0.215
Mg7 0.290 0.000 0.473
Mg8 0.293 0.342 0.418
Mg9 0.307 0.328 0.819
Mg10 0.319 0.000 0.105
Mg11 0.435 0.200 0.134
Al1 0.043 0.407 0.451
Al2 0.135 0.319 0.003
Al3 0.319 0.500 0.639
Al4 0.358 0.091 0.816
Al5 0.408 0.407 0.187
Al6 0.452 0.183 0.634
```

Peak list (8 most intense, 10° ≤ 2θ ≤ 90°, by intensity)
| 2theta | d/Å | Rel. int. |
| --- | --- | --- |
| 36.32 | 2.473 | 100 |
| 35.94 | 2.499 | 91 |
| 36.15 | 2.484 | 68 |
| 36.44 | 2.465 | 35 |
| 40.50 | 2.227 | 28 |
| 65.16 | 1.432 | 23 |
| 34.04 | 2.634 | 23 |
| 39.59 | 2.276 | 22 |


# Sm2Si5Ni3
Theoretical powder X-ray diffraction pattern, Cu Kα X-rays. Input: a crystal structure in the Materials Project, relaxed with GGA-PBE.

Crystal structure
```
data_Sm2Si5Ni3
_chemical_formula_sum 'Sm8 Si20 Ni12'
_cell_length_a 9.617
_cell_length_b 11.293
_cell_length_c 5.707
_cell_angle_alpha 90.00
_cell_angle_beta 90.00
_cell_angle_gamma 90.00
_space_group_name_H-M_alt 'I b a m'
_space_group_IT_number 72
_space_group_name_Hall '-I 2 2c'
loop_
_atom_site_label
_atom_site_fract_x
_atom_site_fract_y
_atom_site_fract_z
Sm1 0.237 0.131 0.000
Si1 0.000 0.000 0.250
Si2 0.000 0.265 0.250
Si3 0.150 0.392 0.000
Ni1 0.000 0.500 0.250
Ni2 0.111 0.133 0.500
```

Peak list (8 most intense, 10° ≤ 2θ ≤ 90°, by intensity)
| 2theta | d/Å | Rel. int. |
| --- | --- | --- |
| 35.85 | 2.505 | 100 |
| 45.18 | 2.007 | 57 |
| 36.62 | 2.454 | 52 |
| 36.92 | 2.435 | 50 |
| 24.02 | 3.704 | 44 |
| 52.78 | 1.735 | 26 |
| 58.76 | 1.571 | 23 |
| 31.35 | 2.853 | 23 |


# Al2Te3
Theoretical powder X-ray diffraction pattern, Cu Kα X-rays. Input: a crystal structure in the Materials Project, relaxed with GGA-PBE.

Crystal structure
```
data_Al2Te3
_chemical_formula_sum 'Al8 Te12'
_cell_length_a 12.982
_cell_length_b 7.401
_cell_length_c 8.089
_cell_angle_alpha 90.00
_cell_angle_beta 120.66
_cell_angle_gamma 90.00
_space_group_name_H-M_alt 'C 1 c 1'
_space_group_IT_number 9
loop_
_space_group_symop_operation_xyz
'x,y,z'
'x,-y,z+1/2'
'x+1/2,y+1/2,z'
'x+1/2,-y+1/2,z+1/2'
loop_
_atom_site_label
_atom_site_fract_x
_atom_site_fract_y
_atom_site_fract_z
Al1 0.000 0.067 0.000
Al2 0.338 0.098 0.009
Te1 0.137 0.099 0.386
Te2 0.292 0.419 0.867
Te3 0.473 0.080 0.394
```

Peak list (8 most intense, 10° ≤ 2θ ≤ 90°, by intensity)
| 2theta | d/Å | Rel. int. |
| --- | --- | --- |
| 27.34 | 3.262 | 100 |
| 25.60 | 3.479 | 49 |
| 26.81 | 3.325 | 48 |
| 23.83 | 3.734 | 40 |
| 42.17 | 2.143 | 32 |
| 50.31 | 1.814 | 30 |
| 46.19 | 1.965 | 17 |
| 41.77 | 2.163 | 17 |


# Ce3UO8
Theoretical powder X-ray diffraction pattern, Cu Kα X-rays. Input: a crystal structure in the Materials Project, relaxed with GGA-PBE.

Crystal structure
```
data_Ce3UO8
_chemical_formula_sum 'Ce9 U3 O24'
_cell_length_a 3.8784
_cell_length_b 3.8784
_cell_length_c 37.6304
_cell_angle_alpha 90.00
_cell_angle_beta 90.00
_cell_angle_gamma 120.00
_space_group_name_H-M_alt 'R -3 m'
_space_group_IT_number 166
_space_group_name_Hall '-R 3 2"'
loop_
_atom_site_label
_atom_site_fract_x
_atom_site_fract_y
_atom_site_fract_z
Ce1 0.0000 0.0000 0.0000
Ce2 0.0000 0.0000 0.2500
U1 0.0000 0.0000 0.5000
O1 0.0000 0.0000 0.0648
O2 0.0000 0.0000 0.1841
O3 0.0000 0.0000 0.3116
O4 0.0000 0.0000 0.4429
```

Peak list (8 most intense, 10° ≤ 2θ ≤ 90°, by intensity)
| 2theta | d/Å | Rel. int. |
| --- | --- | --- |
| 28.21 | 3.163 | 100 |
| 32.76 | 2.733 | 42 |
| 46.85 | 1.939 | 35 |
| 47.18 | 1.927 | 34 |
| 28.46 | 3.136 | 32 |
| 55.73 | 1.649 | 30 |
| 56.02 | 1.641 | 15 |
| 55.59 | 1.653 | 15 |


# V7S8
Theoretical powder X-ray diffraction pattern, Cu Kα X-rays. Input: a crystal structure in the Materials Project, relaxed with GGA-PBE.

Crystal structure
```
data_V7S8
_chemical_formula_sum 'V21 S24'
_cell_length_a 6.3860
_cell_length_b 6.3860
_cell_length_c 18.0319
_cell_angle_alpha 90.00
_cell_angle_beta 90.00
_cell_angle_gamma 120.00
_space_group_name_H-M_alt 'P 31 2 1'
_space_group_IT_number 152
loop_
_space_group_symop_operation_xyz
'x,y,z'
'-y,x-y,z+1/3'
'-x+y,-x,z+2/3'
'y,x,-z'
'x-y,-y,-z+2/3'
'-x,-x+y,-z+1/3'
loop_
_atom_site_label
_atom_site_fract_x
_atom_site_fract_y
_atom_site_fract_z
V1 0.0000 0.0006 0.1667
V2 0.9997 0.4982 0.4991
V3 0.9997 0.4999 0.0021
V4 0.0000 0.5012 0.6667
V5 0.0000 0.9994 0.6667
S1 0.1639 0.3348 0.2488
S2 0.1636 0.8281 0.2485
S3 0.1663 0.8335 0.5841
S4 0.3286 0.6636 0.0846
```

Peak list (8 most intense, 10° ≤ 2θ ≤ 90°, by intensity)
| 2theta | d/Å | Rel. int. |
| --- | --- | --- |
| 44.52 | 2.035 | 100 |
| 35.74 | 2.512 | 46 |
| 57.75 | 1.597 | 34 |
| 32.38 | 2.765 | 27 |
| 89.59 | 1.094 | 19 |
| 75.72 | 1.256 | 18 |
| 56.74 | 1.622 | 10 |
| 61.73 | 1.503 | 9 |


# FeNiAs4
Theoretical powder X-ray diffraction pattern, Cu Kα X-rays. Input: a crystal structure in the Materials Project, relaxed with GGA-PBE.

Crystal structure
```
data_FeNiAs4
_chemical_formula_sum 'Fe1 Ni1 As4'
_cell_length_a 5.165
_cell_length_b 3.109
_cell_length_c 5.933
_cell_angle_alpha 90.00
_cell_angle_beta 90.14
_cell_angle_gamma 90.00
_space_group_name_H-M_alt 'P 1 2/m 1'
_space_group_IT_number 10
loop_
_space_group_symop_operation_xyz
'x,y,z'
'-x,-y,-z'
'-x,y,-z'
'x,-y,z'
loop_
_atom_site_label
_atom_site_fract_x
_atom_site_fract_y
_atom_site_fract_z
Fe1 0.000 0.000 0.000
Ni1 0.500 0.500 0.500
As1 0.183 0.000 0.361
As2 0.312 0.500 0.868
```

Peak list (8 most intense, 10° ≤ 2θ ≤ 90°, by intensity)
| 2theta | d/Å | Rel. int. |
| --- | --- | --- |
| 34.87 | 2.573 | 100 |
| 36.99 | 2.430 | 98 |
| 33.65 | 2.664 | 84 |
| 48.31 | 1.884 | 68 |
| 55.03 | 1.669 | 47 |
| 55.59 | 1.653 | 47 |
| 38.00 | 2.368 | 28 |
| 59.46 | 1.555 | 24 |


# NdF3
Theoretical powder X-ray diffraction pattern, Cu Kα X-rays. Input: a crystal structure in the Materials Project, relaxed with GGA-PBE.

Crystal structure
```
data_NdF3
_chemical_formula_sum 'Nd6 F18'
_cell_length_a 7.1134
_cell_length_b 7.1134
_cell_length_c 7.0825
_cell_angle_alpha 90.00
_cell_angle_beta 90.00
_cell_angle_gamma 120.00
_space_group_name_H-M_alt 'P 63 2 2'
_space_group_IT_number 182
_space_group_name_Hall 'P 6c 2c'
loop_
_atom_site_label
_atom_site_fract_x
_atom_site_fract_y
_atom_site_fract_z
Nd1 0.0000 0.3305 0.0000
F1 0.0000 0.0000 0.2500
F2 0.0075 0.3477 0.3340
F3 0.3333 0.6667 0.5160
```

Peak list (8 most intense, 10° ≤ 2θ ≤ 90°, by intensity)
| 2theta | d/Å | Rel. int. |
| --- | --- | --- |
| 28.07 | 3.178 | 100 |
| 46.15 | 1.967 | 55 |
| 44.10 | 2.053 | 51 |
| 51.43 | 1.777 | 33 |
| 25.15 | 3.541 | 33 |
| 25.04 | 3.557 | 30 |
| 82.59 | 1.168 | 18 |
| 53.10 | 1.725 | 18 |


# ErLuMg2
Theoretical powder X-ray diffraction pattern, Cu Kα X-rays. Input: a crystal structure in the Materials Project, relaxed with GGA-PBE.

Crystal structure
```
data_ErLuMg2
_chemical_formula_sum 'Er4 Lu4 Mg8'
_cell_length_a 7.501
_cell_length_b 7.501
_cell_length_c 7.501
_cell_angle_alpha 90.00
_cell_angle_beta 90.00
_cell_angle_gamma 90.00
_space_group_name_H-M_alt 'F m -3 m'
_space_group_IT_number 225
_space_group_name_Hall '-F 4 2 3'
loop_
_atom_site_label
_atom_site_fract_x
_atom_site_fract_y
_atom_site_fract_z
Er1 0.000 0.000 0.000
Lu1 0.000 0.000 0.500
Mg1 0.250 0.250 0.250
```

Peak list (8 most intense, 10° ≤ 2θ ≤ 90°, by intensity)
| 2theta | d/Å | Rel. int. |
| --- | --- | --- |
| 33.80 | 2.652 | 100 |
| 23.72 | 3.751 | 66 |
| 60.46 | 1.531 | 38 |
| 54.72 | 1.677 | 28 |
| 41.71 | 2.165 | 20 |
| 48.55 | 1.875 | 18 |
| 81.08 | 1.186 | 16 |
| 76.14 | 1.250 | 13 |